No. 1
# GdB4Mo
Computed powder XRD pattern, Cu Ka. Input: a DFT-relaxed cell (GGA-PBE, OQMD).

Structural model:
```
data_GdB4Mo
_space_group_name_H-M_alt 'P 6/m m m'
_space_group_IT_number 191
_space_group_name_Hall '-P 6 2'
_cell_length_a 3.1361
_cell_length_b 3.1361
_cell_length_c 7.2262
_cell_angle_alpha 90.00
_cell_angle_beta 90.00
_cell_angle_gamma 120.00
loop_
_atom_site_label
_atom_site_type_symbol
_atom_site_fract_x
_atom_site_fract_y
_atom_site_fract_z
Gd1 Gd 0.0000 0.0000 0.0000
B1 B 0.3333 0.6667 0.2774
Mo1 Mo 0.0000 0.0000 0.5000
```

Largest 12 diffraction maxima, by intensity, 2θ = 15–90°:
two_theta, I (rel.), (hkl)
41.6, 100, 1 0 2
33.0, 75, 1 0 0
24.6, 45, 0 0 2
61.7, 25, 1 0 4
58.9, 19, 1 1 0
64.8, 19, 1 1 2
74.7, 17, 2 0 2
81.2, 15, 1 1 4
88.9, 11, 1 0 6
50.5, 10, 0 0 4
69.2, 9, 2 0 0
35.3, 8, 1 0 1

No. 2
# TbGd2Ni2B2N3
Computed powder XRD pattern, Cu Ka. Input: a DFT-relaxed cell (GGA-PBE, OQMD).

Structural model:
```
data_TbGd2Ni2B2N3
_space_group_name_H-M_alt 'I 4/m m m'
_space_group_IT_number 139
_space_group_name_Hall '-I 4 2'
_cell_length_a 3.506
_cell_length_b 3.506
_cell_length_c 20.125
_cell_angle_alpha 90.00
_cell_angle_beta 90.00
_cell_angle_gamma 90.00
loop_
_atom_site_label
_atom_site_type_symbol
_atom_site_fract_x
_atom_site_fract_y
_atom_site_fract_z
Tb1 Tb 0.000 0.000 0.000
Gd1 Gd 0.000 0.000 0.376
Ni1 Ni 0.000 0.500 0.250
B1 B 0.000 0.000 0.190
N1 N 0.000 0.000 0.118
N2 N 0.000 0.000 0.500
```

Largest 12 diffraction maxima, by intensity, 2θ = 15–90°:
two_theta, I (rel.), (hkl)
28.7, 100, 1 0 3
33.9, 81, 1 0 5
35.7, 52, 0 0 8
37.4, 42, 1 1 2
36.2, 40, 1 1 0
52.2, 38, 2 0 0
64.8, 35, 2 0 8
40.6, 34, 1 1 4
63.7, 27, 2 1 5
60.7, 26, 2 1 3
51.8, 24, 1 1 8
45.5, 23, 1 1 6

No. 3
# TbGdB2Pt2N2
Computed powder XRD pattern, Cu Ka. Input: a DFT-relaxed cell (GGA-PBE, OQMD).

Structural model:
```
data_TbGdB2Pt2N2
_space_group_name_H-M_alt 'P 4 m m'
_space_group_IT_number 99
_space_group_name_Hall 'P 4 -2'
_cell_length_a 3.749
_cell_length_b 3.749
_cell_length_c 7.612
_cell_angle_alpha 90.00
_cell_angle_beta 90.00
_cell_angle_gamma 90.00
loop_
_atom_site_label
_atom_site_type_symbol
_atom_site_fract_x
_atom_site_fract_y
_atom_site_fract_z
Tb1 Tb 0.000 0.000 0.000
Gd1 Gd 0.500 0.500 0.326
B1 B 0.000 0.000 0.492
B2 B 0.500 0.500 0.833
Pt1 Pt 0.000 0.500 0.663
N1 N 0.000 0.000 0.303
N2 N 0.500 0.500 0.022
```

Largest 12 diffraction maxima, by intensity, 2θ = 15–90°:
two_theta, I (rel.), (hkl)
35.9, 100, 1 1 1
41.5, 63, 1 1 2
35.4, 42, 0 0 3
48.6, 37, 2 0 0
26.5, 37, 1 0 1
61.5, 34, 2 0 3
33.6, 27, 1 0 2
59.8, 26, 1 1 4
82.3, 19, 3 1 1
85.9, 16, 3 1 2
82.0, 15, 2 2 3
23.4, 12, 0 0 2

No. 4
# GdYB3N2
Computed powder XRD pattern, Cu Ka. Input: a DFT-relaxed cell (GGA-PBE, OQMD).

Structural model:
```
data_GdYB3N2
_space_group_name_H-M_alt 'A m m 2'
_space_group_IT_number 38
_space_group_name_Hall 'A 2 -2'
_cell_length_a 3.721
_cell_length_b 3.310
_cell_length_c 13.129
_cell_angle_alpha 90.00
_cell_angle_beta 90.00
_cell_angle_gamma 90.00
loop_
_atom_site_label
_atom_site_type_symbol
_atom_site_fract_x
_atom_site_fract_y
_atom_site_fract_z
Gd1 Gd 0.000 0.000 0.000
Y1 Y 0.000 0.000 0.729
B1 B 0.500 0.000 0.145
B2 B 0.500 0.000 0.365
B3 B 0.500 0.000 0.585
N1 N 0.500 0.000 0.260
N2 N 0.500 0.000 0.470
```

Largest 12 diffraction maxima, by intensity, 2θ = 15–90°:
two_theta, I (rel.), (hkl)
37.0, 100, 1 1 1
42.0, 84, 1 1 3
27.2, 83, 0 0 4
36.5, 71, 1 0 4
23.9, 69, 1 0 0
34.0, 61, 0 1 3
27.8, 49, 0 1 1
62.1, 28, 1 1 7
49.0, 24, 2 0 0
60.9, 23, 2 1 3
68.3, 23, 1 2 4
83.6, 22, 2 2 4